Calculated powder diffractogram
Compound: TaTiAl
Radiation: λ = 1.5418 Å (Cu Kα)
Structure: a structure optimized by DFT (GGA-PBE)

Main lines, by intensity (10 to 90 degrees two-theta):
d_spacing, I (rel.)
3.665, 100
2.244, 80
1.914, 50
1.296, 27
1.456, 21
3.174, 17
1.222, 16
1.587, 13
1.122, 9
1.419, 7
1.832, 5

Cell: 4.488 4.488 4.488 Å, 60.00 60.00 60.00°
Positions (direct):
Ta 0.000 0.000 0.000
Ti 0.250 0.250 0.250
Al 0.750 0.750 0.750